Diffraction record for CoTc3O12. The PXRD pattern is calculated, not measured: it uses a crystal structure in Alexandria, relaxed with GGA+U and a wavelength of 1.5418 Å.
No peak broadening, texture or thermal motion is included.

Structure:
Cell lengths 8.6717, 8.6717, 27.5739 Å; angles 90.00, 90.00, 120.00 degrees
Space group R3c (No. 161, hexagonal axes)
Symmetry-distinct sites (fractional):
Co: 0.0000 0.0000 0.0000 [6 per cell]
Tc: 0.0339 0.3569 0.0771 [18 per cell]
O: 0.0432 0.5204 0.5415 [18 per cell]
O: 0.0772 0.2120 0.0414 [18 per cell]
O: 0.0797 0.5088 0.4342 [18 per cell]
O: 0.1921 0.4529 0.1249 [18 per cell]

Principal peaks in the range 10 to 90 degrees two-theta, in order of rising 2θ:
| 2θ (°) | I (rel.) | index |
| --- | --- | --- |
| 13.4 | 30 | 0 1 2 |
| 19.3 | 27 | 0 0 6 |
| 22.7 | 100 | 1 1 3 |
| 28.3 | 34 | 1 1 6 |
| 35.9 | 36 | 3 0 0 |
| 54.2 | 23 | 0 3 12 |